# ZnH3CNO3
Computed X-ray diffraction stick pattern, a wavelength of 1.5418 Å. Input: a cell relaxed with GGA-PBE.

Principal peaks in the range 10 to 80 degrees two-theta, by angle:
2θ (°)	d_spacing	intensity
14.19	6.239	55
20.03	4.432	100
21.64	4.106	58
22.16	4.012	52
25.39	3.508	76
29.01	3.078	52
40.86	2.208	35
43.44	2.083	27

Cell and atoms:
Cell: 9.4447 8.3113 5.2391 Å, 90.00 90.00 90.00°
Fractional positions:
Zn 0.1189 0.1831 0.0000
Zn 0.3811 0.6831 0.5000
Zn 0.6189 0.3169 0.0000
Zn 0.8811 0.8169 0.5000
H 0.0079 0.5818 0.7389
H 0.0258 0.2651 0.4346
H 0.1500 0.3966 0.3704
H 0.3500 0.8966 0.8704
H 0.4742 0.7651 0.9346
H 0.4921 0.0818 0.2389
H 0.5079 0.9182 0.7389
H 0.5258 0.2349 0.4346
H 0.6500 0.1034 0.3704
H 0.8500 0.6034 0.8704
H 0.9742 0.7349 0.9346
H 0.9921 0.4182 0.2389
C 0.1504 0.8748 0.2314
C 0.3496 0.3748 0.7314
C 0.6504 0.6252 0.2314
C 0.8496 0.1252 0.7314
N 0.0670 0.3337 0.2888
N 0.4330 0.8337 0.7888
N 0.5670 0.1663 0.2888
N 0.9330 0.6663 0.7888
O 0.0123 0.8928 0.2359
O 0.2063 0.7445 0.3152
O 0.2259 0.9884 0.1289
O 0.2741 0.4884 0.6289
O 0.2937 0.2445 0.8152
O 0.4877 0.3928 0.7359
O 0.5123 0.6072 0.2359
O 0.7063 0.7555 0.3152
O 0.7259 0.5116 0.1289
O 0.7741 0.0116 0.6289
O 0.7937 0.2555 0.8152
O 0.9877 0.1072 0.7359